1.
Theoretical PXRD pattern
Compound: Li5V6O5F19
Radiation: Cu Kα
Structure: the PBE+U geometry in the Materials Project
No peak broadening, texture or thermal motion is included.

Top 10 peaks for 2θ = 15–90°, sorted by position:
2θ 16.56, rel. 100; 2θ 25.09, rel. 75; 2θ 25.27, rel. 74; 2θ 33.14, rel. 13; 2θ 33.48, rel. 13; 2θ 48.39, rel. 11; 2θ 48.79, rel. 11; 2θ 48.95, rel. 19; 2θ 51.20, rel. 11; 2θ 54.44, rel. 9

Crystal structure
```
data_Li5V6O5F19
_space_group_name_H-M_alt 'P 1'
_space_group_IT_number 1
_space_group_name_Hall 'P 1'
_cell_length_a 5.1992
_cell_length_b 5.4059
_cell_length_c 16.2762
_cell_angle_alpha 80.62
_cell_angle_beta 89.73
_cell_angle_gamma 89.56
loop_
_atom_site_label
_atom_site_type_symbol
_atom_site_fract_x
_atom_site_fract_y
_atom_site_fract_z
_atom_site_occupancy
Li1 Li 0.0000 0.0000 0.0000 1
Li2 Li 0.0111 0.5761 0.3079 1
Li3 Li 0.2437 0.0691 0.5889 1
Li4 Li 0.4196 0.5025 0.9950 1
Li5 Li 0.7261 0.5165 0.6080 1
V1 V 0.4807 0.6828 0.7730 1
V2 V 0.4844 0.0054 0.1099 1
V3 V 0.4972 0.3964 0.4342 1
V4 V 0.9314 0.5045 0.1048 1
V5 V 0.9581 0.2086 0.7756 1
V6 V 0.9919 0.9040 0.4413 1
O1 O 0.1796 0.1370 0.4646 1
O2 O 0.6553 0.7615 0.0753 1
O3 O 0.6765 0.4417 0.7496 1
O4 O 0.7615 0.5799 0.4228 1
O5 O 0.7694 0.2527 0.0771 1
F1 F 0.0394 0.2733 0.6620 1
F2 F 0.0486 0.9046 0.3284 1
F3 F 0.0751 0.6410 0.9959 1
F4 F 0.1545 0.8264 0.1271 1
F5 F 0.1679 0.4841 0.7969 1
F6 F 0.2552 0.9817 0.7919 1
F7 F 0.2567 0.6409 0.4691 1
F8 F 0.2669 0.3369 0.1260 1
F9 F 0.3429 0.1400 0.9988 1
F10 F 0.3457 0.4417 0.3295 1
F11 F 0.3740 0.7803 0.6604 1
F12 F 0.5371 0.2901 0.5572 1
F13 F 0.5399 0.6455 0.8873 1
F14 F 0.5400 0.9870 0.2180 1
F15 F 0.6759 0.0937 0.4101 1
F16 F 0.7539 0.9345 0.7514 1
F17 F 0.8598 0.4769 0.2174 1
F18 F 0.8749 0.8097 0.5562 1
F19 F 0.8849 0.1343 0.8854 1
```

=====

2.
Theoretical PXRD pattern
Compound: LiVOF4
Radiation: Cu Kα
Structure: the PBE+U geometry in the Materials Project
No peak broadening, texture or thermal motion is included.

Top 10 peaks for 2θ = 15–90°, sorted by position:
2θ 18.75, rel. 100; 2θ 19.78, rel. 89; 2θ 20.18, rel. 79; 2θ 24.55, rel. 52; 2θ 24.73, rel. 44; 2θ 28.47, rel. 20; 2θ 29.36, rel. 21; 2θ 38.80, rel. 19; 2θ 39.72, rel. 21; 2θ 39.85, rel. 18

Crystal structure
```
data_LiVOF4
_space_group_name_H-M_alt 'P 1'
_space_group_IT_number 1
_space_group_name_Hall 'P 1'
_cell_length_a 5.0381
_cell_length_b 7.8229
_cell_length_c 10.2036
_cell_angle_alpha 111.91
_cell_angle_beta 90.59
_cell_angle_gamma 91.81
loop_
_atom_site_label
_atom_site_type_symbol
_atom_site_fract_x
_atom_site_fract_y
_atom_site_fract_z
_atom_site_occupancy
Li1 Li 0.0000 0.0000 0.0000 1
Li2 Li 0.0426 0.5056 0.9476 1
Li3 Li 0.4482 0.5242 0.4360 1
Li4 Li 0.5324 0.0015 0.4987 1
V1 V 0.0349 0.9156 0.6376 1
V2 V 0.5185 0.3348 0.1267 1
V3 V 0.5466 0.8203 0.1319 1
V4 V 0.9772 0.4132 0.6323 1
O1 O 0.1766 0.1038 0.6354 1
O2 O 0.6595 0.6227 0.1237 1
O3 O 0.7715 0.2490 0.0276 1
O4 O 0.8532 0.5945 0.6180 1
F1 F 0.1421 0.9120 0.8091 1
F2 F 0.2125 0.7586 0.0448 1
F3 F 0.2275 0.3524 0.4941 1
F4 F 0.2479 0.5063 0.7615 1
F5 F 0.2894 0.5040 0.2584 1
F6 F 0.2958 0.3571 0.9904 1
F7 F 0.3034 0.7593 0.5478 1
F8 F 0.3411 0.1265 0.1249 1
F9 F 0.3845 0.9109 0.3022 1
F10 F 0.6662 0.8332 0.9661 1
F11 F 0.7126 0.3920 0.2921 1
F12 F 0.7184 0.9927 0.7148 1
F13 F 0.7499 0.2256 0.5219 1
F14 F 0.8043 0.3962 0.7867 1
F15 F 0.8134 0.9878 0.2106 1
F16 F 0.8433 0.8306 0.4685 1
```

=====

3.
Theoretical PXRD pattern
Compound: LiV2OF5
Radiation: Cu Kα
Structure: the PBE+U geometry in the Materials Project
No peak broadening, texture or thermal motion is included.

Top 10 peaks for 2θ = 15–90°, sorted by position:
2θ 19.98, rel. 100; 2θ 24.52, rel. 67; 2θ 30.01, rel. 83; 2θ 30.28, rel. 98; 2θ 39.66, rel. 59; 2θ 40.80, rel. 52; 2θ 41.22, rel. 52; 2θ 52.72, rel. 58; 2θ 53.46, rel. 57; 2θ 62.71, rel. 53

Crystal structure
```
data_LiV2OF5
_space_group_name_H-M_alt 'P 1'
_space_group_IT_number 1
_space_group_name_Hall 'P 1'
_cell_length_a 4.6619
_cell_length_b 5.2059
_cell_length_c 17.6390
_cell_angle_alpha 90.00
_cell_angle_beta 104.56
_cell_angle_gamma 90.00
loop_
_atom_site_label
_atom_site_type_symbol
_atom_site_fract_x
_atom_site_fract_y
_atom_site_fract_z
_atom_site_occupancy
Li1 Li 0.0000 0.0025 0.0000 1
Li2 Li 0.0000 0.9975 0.5000 1
Li3 Li 0.7603 0.4817 0.2627 1
Li4 Li 0.7603 0.5183 0.7627 1
V1 V 0.0858 0.4742 0.5969 1
V2 V 0.0858 0.5258 0.0969 1
V3 V 0.3541 0.0045 0.3239 1
V4 V 0.3541 0.9955 0.8239 1
V5 V 0.4361 0.5001 0.4291 1
V6 V 0.4361 0.4999 0.9291 1
V7 V 0.6718 0.0007 0.1646 1
V8 V 0.6718 0.9993 0.6646 1
O1 O 0.5332 0.1324 0.2517 1
O2 O 0.5332 0.8676 0.7517 1
O3 O 0.8607 0.1824 0.5948 1
O4 O 0.8607 0.8176 0.0948 1
F1 F 0.0033 0.1657 0.7553 1
F2 F 0.0033 0.8343 0.2553 1
F3 F 0.1347 0.3397 0.3429 1
F4 F 0.1347 0.6603 0.8429 1
F5 F 0.2110 0.1690 0.9190 1
F6 F 0.2110 0.8310 0.4190 1
F7 F 0.2491 0.3363 0.5046 1
F8 F 0.2491 0.6637 0.0046 1
F9 F 0.3282 0.1864 0.0874 1
F10 F 0.3282 0.8136 0.5874 1
F11 F 0.4438 0.3386 0.6732 1
F12 F 0.4438 0.6614 0.1732 1
F13 F 0.5839 0.3424 0.8442 1
F14 F 0.5839 0.6576 0.3442 1
F15 F 0.6499 0.1697 0.4188 1
F16 F 0.6499 0.8303 0.9188 1
F17 F 0.7771 0.3464 0.0060 1
F18 F 0.7771 0.6536 0.5060 1
F19 F 0.9166 0.3292 0.1748 1
F20 F 0.9166 0.6708 0.6748 1
```

=====

4.
Theoretical PXRD pattern
Compound: LiVOF3
Radiation: Cu Kα
Structure: the PBE+U geometry in the Materials Project
No peak broadening, texture or thermal motion is included.

Top 10 peaks for 2θ = 15–90°, sorted by position:
2θ 15.16, rel. 31; 2θ 17.62, rel. 33; 2θ 20.27, rel. 53; 2θ 20.94, rel. 100; 2θ 22.66, rel. 38; 2θ 23.25, rel. 46; 2θ 28.82, rel. 25; 2θ 38.79, rel. 17; 2θ 46.52, rel. 17; 2θ 46.57, rel. 17

Crystal structure
```
data_LiVOF3
_space_group_name_H-M_alt 'P 1'
_space_group_IT_number 1
_space_group_name_Hall 'P 1'
_cell_length_a 5.2651
_cell_length_b 7.8458
_cell_length_c 9.1675
_cell_angle_alpha 90.00
_cell_angle_beta 107.07
_cell_angle_gamma 90.00
loop_
_atom_site_label
_atom_site_type_symbol
_atom_site_fract_x
_atom_site_fract_y
_atom_site_fract_z
_atom_site_occupancy
Li1 Li 0.1597 0.0414 0.1367 1
Li2 Li 0.1597 0.4586 0.6367 1
Li3 Li 0.8403 0.5414 0.3633 1
Li4 Li 0.8403 0.9586 0.8633 1
V1 V 0.3763 0.6591 0.9524 1
V2 V 0.3763 0.8409 0.4524 1
V3 V 0.6237 0.1591 0.5476 1
V4 V 0.6237 0.3409 0.0476 1
O1 O 0.4505 0.5492 0.1207 1
O2 O 0.4505 0.9508 0.6207 1
O3 O 0.5495 0.0492 0.3793 1
O4 O 0.5495 0.4508 0.8793 1
F1 F 0.0825 0.6037 0.7882 1
F2 F 0.0825 0.8963 0.2882 1
F3 F 0.1941 0.6389 0.4885 1
F4 F 0.1941 0.8611 0.9885 1
F5 F 0.3487 0.2127 0.0738 1
F6 F 0.3487 0.2873 0.5738 1
F7 F 0.6513 0.7127 0.4262 1
F8 F 0.6513 0.7873 0.9262 1
F9 F 0.8059 0.1389 0.0115 1
F10 F 0.8059 0.3611 0.5115 1
F11 F 0.9175 0.1037 0.7118 1
F12 F 0.9175 0.3963 0.2118 1
```

=====

5.
Theoretical PXRD pattern
Compound: LiV2OF5
Radiation: Cu Kα
Structure: the PBE+U geometry in the Materials Project
No peak broadening, texture or thermal motion is included.

Top 10 peaks for 2θ = 15–90°, sorted by position:
2θ 19.74, rel. 41; 2θ 19.98, rel. 74; 2θ 20.80, rel. 27; 2θ 24.67, rel. 88; 2θ 30.12, rel. 100; 2θ 30.24, rel. 35; 2θ 39.68, rel. 45; 2θ 40.95, rel. 57; 2θ 52.73, rel. 43; 2θ 53.70, rel. 41

Crystal structure
```
data_LiV2OF5
_space_group_name_H-M_alt 'P 1'
_space_group_IT_number 1
_space_group_name_Hall 'P 1'
_cell_length_a 4.6618
_cell_length_b 5.2023
_cell_length_c 17.0859
_cell_angle_alpha 90.23
_cell_angle_beta 90.21
_cell_angle_gamma 90.07
loop_
_atom_site_label
_atom_site_type_symbol
_atom_site_fract_x
_atom_site_fract_y
_atom_site_fract_z
_atom_site_occupancy
Li1 Li 0.0000 0.0000 0.0000 1
Li2 Li 0.0094 0.4826 0.7620 1
Li3 Li 0.4947 0.4956 0.2623 1
Li4 Li 0.5188 0.0020 0.5004 1
V1 V 0.0018 0.0013 0.6640 1
V2 V 0.0045 0.5061 0.4290 1
V3 V 0.0107 0.4807 0.0963 1
V4 V 0.0195 0.0079 0.3234 1
V5 V 0.4701 0.0172 0.1641 1
V6 V 0.4755 0.0039 0.8229 1
V7 V 0.4967 0.5012 0.9282 1
V8 V 0.5210 0.5264 0.5966 1
O1 O 0.2269 0.1314 0.7506 1
O2 O 0.2331 0.1848 0.0894 1
O3 O 0.2725 0.1491 0.2532 1
O4 O 0.7446 0.8190 0.5946 1
F1 F 0.2250 0.1720 0.4183 1
F2 F 0.2286 0.6616 0.3429 1
F3 F 0.2334 0.6578 0.0053 1
F4 F 0.2364 0.6609 0.6726 1
F5 F 0.2617 0.6691 0.1731 1
F6 F 0.2661 0.6566 0.8433 1
F7 F 0.2680 0.6680 0.5045 1
F8 F 0.2703 0.1872 0.5869 1
F9 F 0.2731 0.1698 0.9175 1
F10 F 0.7128 0.8323 0.9180 1
F11 F 0.7140 0.3393 0.8420 1
F12 F 0.7337 0.3372 0.1737 1
F13 F 0.7393 0.8414 0.2520 1
F14 F 0.7430 0.3500 0.5057 1
F15 F 0.7587 0.3442 0.0045 1
F16 F 0.7596 0.8333 0.7546 1
F17 F 0.7611 0.8175 0.0915 1
F18 F 0.7677 0.3297 0.6741 1
F19 F 0.7816 0.3424 0.3430 1
F20 F 0.7845 0.8371 0.4163 1
```

=====

6.
Theoretical PXRD pattern
Compound: LiVOF3
Radiation: Cu Kα
Structure: the PBE+U geometry in the Materials Project
No peak broadening, texture or thermal motion is included.

Top 10 peaks for 2θ = 15–90°, sorted by position:
2θ 15.39, rel. 14; 2θ 19.65, rel. 100; 2θ 19.92, rel. 72; 2θ 26.06, rel. 20; 2θ 28.33, rel. 57; 2θ 32.03, rel. 27; 2θ 39.41, rel. 16; 2θ 42.25, rel. 60; 2θ 48.37, rel. 31; 2θ 57.70, rel. 16

Crystal structure
```
data_LiVOF3
_space_group_name_H-M_alt 'P 1'
_space_group_IT_number 1
_space_group_name_Hall 'P 1'
_cell_length_a 6.8789
_cell_length_b 6.8789
_cell_length_c 6.3918
_cell_angle_alpha 90.50
_cell_angle_beta 90.50
_cell_angle_gamma 113.65
loop_
_atom_site_label
_atom_site_type_symbol
_atom_site_fract_x
_atom_site_fract_y
_atom_site_fract_z
_atom_site_occupancy
Li1 Li 0.0000 0.0000 0.0000 1
Li2 Li 0.5367 0.4633 0.5000 1
Li3 Li 0.5699 0.0356 0.2725 1
Li4 Li 0.9644 0.4301 0.7275 1
V1 V 0.0161 0.9839 0.5000 1
V2 V 0.3862 0.6138 0.0000 1
V3 V 0.4177 0.0728 0.7645 1
V4 V 0.9272 0.5823 0.2355 1
O1 O 0.0987 0.5287 0.0313 1
O2 O 0.2910 0.1672 0.5475 1
O3 O 0.4713 0.9013 0.9687 1
O4 O 0.8328 0.7090 0.4525 1
F1 F 0.0577 0.4845 0.4504 1
F2 F 0.1169 0.8495 0.7522 1
F3 F 0.1505 0.8831 0.2478 1
F4 F 0.3122 0.2229 0.9700 1
F5 F 0.4167 0.5631 0.7291 1
F6 F 0.4369 0.5833 0.2709 1
F7 F 0.5155 0.9423 0.5496 1
F8 F 0.6651 0.3259 0.7394 1
F9 F 0.6741 0.3349 0.2606 1
F10 F 0.7771 0.6878 0.0300 1
F11 F 0.8956 0.0782 0.2729 1
F12 F 0.9218 0.1044 0.7271 1
```